The following is a calculated powder diffractogram of Na5B8C2. It was derived from a DFT-relaxed cell (PBE, Alexandria), using CuKα.

Structure:
a b c (Å): 18.1001 2.8196 13.6737
angles (deg): 90.00 112.45 90.00
Space group Cm (No. 8)
Symmetry-distinct sites (fractional):
Na1 0.0000 0.0000 0.0000
Na2 0.9997 0.0000 0.4965
Na3 0.0997 0.5000 0.6997
Na4 0.1007 0.5000 0.2000
Na5 0.2004 0.0000 0.3986
Na6 0.2011 0.0000 0.9007
Na7 0.2999 0.5000 0.1006
Na8 0.3001 0.5000 0.5988
Na9 0.3987 0.0000 0.7989
Na10 0.3997 0.0000 0.2979
B1 0.0273 0.0000 0.3040
B2 0.0269 0.0000 0.8033
B3 0.0700 0.5000 0.3882
B4 0.0701 0.5000 0.8895
B5 0.1333 0.5000 0.5140
B6 0.1337 0.5000 0.0173
B7 0.1743 0.0000 0.0987
B8 0.1758 0.0000 0.5994
B9 0.2415 0.0000 0.2315
B10 0.2652 0.5000 0.7793
B11 0.3306 0.5000 0.9110
B12 0.3329 0.5000 0.4143
B13 0.3704 0.0000 0.9915
B14 0.4226 0.0000 0.5941
B15 0.4612 0.5000 0.1729
B16 0.4640 0.5000 0.6773
C1 0.2340 0.0000 0.7160
C2 0.2723 0.5000 0.2921
C3 0.3636 0.0000 0.4764
C4 0.4299 0.0000 0.1113

The 10 most intense peaks (2θ from 5° to 70°), in order of rising 2θ:
33.94 deg, d = 2.641 Å, I 14
36.11 deg, d = 2.487 Å, I 16
39.95 deg, d = 2.257 Å, I 24
40.02 deg, d = 2.253 Å, I 24
41.71 deg, d = 2.165 Å, I 37
41.88 deg, d = 2.157 Å, I 100
54.88 deg, d = 1.673 Å, I 3
56.33 deg, d = 1.633 Å, I 9
62.16 deg, d = 1.493 Å, I 17
66.30 deg, d = 1.410 Å, I 8